Theoretical powder diffraction line list
Compound: ScTl8
Radiation: copper Kα
Structure: the GGA-PBE geometry in Alexandria

The 10 most intense peaks (10 to 90 degrees two-theta), low angle first:
- hkl 3 0 1, 2.813 Å, rel. 1000
- hkl 3 3 0, 2.466 Å, rel. 347
- hkl 0 0 2, 2.379 Å, rel. 159
- hkl 6 0 0, 1.743 Å, rel. 123
- hkl 3 3 2, 1.712 Å, rel. 234
- hkl 6 3 1, 1.482 Å, rel. 288
- hkl 3 0 3, 1.444 Å, rel. 135
- hkl 6 0 2, 1.406 Å, rel. 122
- hkl 9 0 1, 1.129 Å, rel. 61
- hkl 6 3 3, 1.112 Å, rel. 119

Crystal structure
Unit cell a=10.461 b=10.461 c=4.759 alpha=90.00 beta=90.00 gamma=90.00
Space group I4/mmm (No. 139)
Unique sites:
Sc: 0.000 0.000 0.000 x2
Tl: 0.000 0.328 0.000 x8
Tl: 0.162 0.162 0.500 x8



Theoretical powder diffraction line list
Compound: Nd12Zn6Os
Radiation: copper Kα
Structure: the GGA-PBE geometry in Alexandria

The 10 most intense peaks (10 to 90 degrees two-theta), low angle first:
- hkl 0 1 2, 5.646 Å, rel. 178
- hkl 2 1 1, 3.782 Å, rel. 310
- hkl 1 0 4, 3.196 Å, rel. 444
- hkl 1 3 1, 2.827 Å, rel. 1000
- hkl 3 1 2, 2.656 Å, rel. 518
- hkl 3 -1 4, 2.556 Å, rel. 462
- hkl 2 2 3, 2.498 Å, rel. 732
- hkl 3 -2 5, 2.220 Å, rel. 206
- hkl 6 -1 1, 1.855 Å, rel. 175
- hkl 7 -5 3, 1.564 Å, rel. 180

Crystal structure
Unit cell a=12.0401 b=12.0401 c=13.4319 alpha=90.00 beta=90.00 gamma=120.00
Space group R-3 (No. 148, hexagonal axes)
Unique sites:
Nd: 0.0388 0.1969 0.3735 x18
Nd: 0.0414 0.8462 0.8909 x18
Zn: 0.0031 0.5987 0.7585 x18
Os: 0.0000 0.0000 0.5000 x3



Theoretical powder diffraction line list
Compound: Cd2TcPbO6
Radiation: copper Kα
Structure: the GGA-PBE geometry in Alexandria

The 10 most intense peaks (10 to 90 degrees two-theta), low angle first:
- hkl 0 0 1, 5.326 Å, rel. 185
- hkl 1 1 1, 3.209 Å, rel. 1000
- hkl 2 0 0, 2.843 Å, rel. 388
- hkl 1 1 2, 2.220 Å, rel. 165
- hkl 2 2 0, 2.010 Å, rel. 215
- hkl 2 0 2, 1.943 Å, rel. 195
- hkl 3 1 1, 1.704 Å, rel. 317
- hkl 2 0 3, 1.506 Å, rel. 89
- hkl 3 1 2, 1.490 Å, rel. 90
- hkl 1 1 4, 1.264 Å, rel. 80

Crystal structure
Unit cell a=5.686 b=5.686 c=5.326 alpha=90.00 beta=90.00 gamma=90.00
Space group P4mm (No. 99)
Unique sites:
Cd: 0.000 0.500 0.000 x2
Tc: 0.000 0.000 0.655 x1
Pb: 0.500 0.500 0.585 x1
O: 0.000 0.000 0.329 x1
O: 0.223 0.223 0.782 x4
O: 0.500 0.500 0.176 x1